For SiIr2, a DFT-relaxed cell (PBE, the Materials Project) gives the calculated powder XRD pattern in this record (CuKα).
Kinematic intensities with the Lorentz-polarization factor, no thermal factor.

Structure:
```
data_SiIr2
_space_group_name_H-M_alt 'P 63/m m c'
_space_group_IT_number 194
_space_group_name_Hall '-P 6c 2c'
_cell_length_a 4.1944
_cell_length_b 4.1944
_cell_length_c 5.5052
_cell_angle_alpha 90.00
_cell_angle_beta 90.00
_cell_angle_gamma 120.00
loop_
_atom_site_label
_atom_site_fract_x
_atom_site_fract_y
_atom_site_fract_z
Si1 0.3333 0.6667 0.2500
Ir1 0.0000 0.0000 0.0000
Ir2 0.3333 0.6667 0.7500
```

Largest 10 diffraction maxima, in order of rising 2θ, 2θ = 10–90°:
| 2θ (°) | I (rel.) | hkl |
| --- | --- | --- |
| 24.51 | 14 | 1 0 0 |
| 29.46 | 52 | 1 0 1 |
| 41.15 | 100 | 1 0 2 |
| 43.13 | 82 | 1 1 0 |
| 53.10 | 11 | 2 0 1 |
| 61.13 | 32 | 2 0 2 |
| 70.72 | 9 | 2 1 1 |
| 77.73 | 32 | 2 1 2 |
| 79.09 | 14 | 3 0 0 |
| 84.13 | 25 | 1 1 4 |

***

For Si3Ir, a DFT-relaxed cell (PBE, the Materials Project) gives the calculated powder XRD pattern in this record (CuKα).
Kinematic intensities with the Lorentz-polarization factor, no thermal factor.

Structure:
```
data_Si3Ir
_space_group_name_H-M_alt 'P 63/m m c'
_space_group_IT_number 194
_space_group_name_Hall '-P 6c 2c'
_cell_length_a 4.3793
_cell_length_b 4.3793
_cell_length_c 7.4050
_cell_angle_alpha 90.00
_cell_angle_beta 90.00
_cell_angle_gamma 120.00
loop_
_atom_site_label
_atom_site_fract_x
_atom_site_fract_y
_atom_site_fract_z
Si1 0.0000 0.0000 0.2500
Si2 0.3333 0.6667 0.0854
Ir1 0.3333 0.6667 0.7500
```

Largest 10 diffraction maxima, in order of rising 2θ, 2θ = 10–90°:
| 2θ (°) | I (rel.) | hkl |
| --- | --- | --- |
| 23.46 | 32 | 1 0 0 |
| 24.04 | 40 | 0 0 2 |
| 26.40 | 100 | 1 0 1 |
| 41.23 | 62 | 1 1 0 |
| 43.76 | 63 | 1 0 3 |
| 48.29 | 38 | 1 1 2 |
| 49.63 | 19 | 2 0 1 |
| 61.68 | 23 | 2 0 3 |
| 66.43 | 16 | 2 1 1 |
| 76.91 | 24 | 2 1 3 |